Simulated PXRD pattern
Compound: Ta2NbPt
Radiation: Cu Kα (weighted mean of Kα1 and Kα2)
Structure: a DFT-relaxed cell (PBE, OQMD)
Kinematic intensities with the Lorentz-polarization factor, no thermal factor.

Most intense lines, 5 to 70 degrees two-theta, in order of rising 2θ:
34.47 deg, rel. 27
34.81 deg, rel. 32
38.74 deg, rel. 95
39.00 deg, rel. 35
42.63 deg, rel. 100
42.84 deg, rel. 29
67.39 deg, rel. 25
67.80 deg, rel. 26

Cell and atoms:
Cell: 5.2031 5.2031 5.1544 Å, 90.00 90.00 90.00°
Fractional positions:
Ta 0.0000 0.2487 0.0000
Ta 0.0000 0.7513 0.0000
Ta 0.2487 0.0000 0.5000
Ta 0.7513 0.0000 0.5000
Nb 0.5000 0.5000 0.2500
Nb 0.5000 0.5000 0.7500
Pt 0.0000 0.5000 0.5000
Pt 0.5000 0.0000 0.0000

Simulated PXRD pattern
Compound: HoScCS
Radiation: Cu Kα (weighted mean of Kα1 and Kα2)
Structure: a DFT-relaxed cell (PBE, OQMD)
Kinematic intensities with the Lorentz-polarization factor, no thermal factor.

Most intense lines, 5 to 70 degrees two-theta, in order of rising 2θ:
14.29 deg, rel. 49
28.85 deg, rel. 45
29.78 deg, rel. 56
36.28 deg, rel. 100
51.16 deg, rel. 28
53.37 deg, rel. 21
59.78 deg, rel. 17
64.33 deg, rel. 18

Cell and atoms:
Cell: 3.5707 3.5707 12.3988 Å, 90.00 90.00 120.00°
Fractional positions:
Ho 0.3333 0.6667 0.0000
Ho 0.6667 0.3333 0.5000
Sc 0.3333 0.6667 0.7067
Sc 0.6667 0.3333 0.2067
C 0.0000 0.0000 0.1080
C 0.0000 0.0000 0.6080
S 0.3333 0.6667 0.3455
S 0.6667 0.3333 0.8455

Simulated PXRD pattern
Compound: CsZrInTe3
Radiation: Cu Kα (weighted mean of Kα1 and Kα2)
Structure: a DFT-relaxed cell (PBE, OQMD)
Kinematic intensities with the Lorentz-polarization factor, no thermal factor.

Most intense lines, 5 to 70 degrees two-theta, in order of rising 2θ:
9.84 deg, rel. 51
25.94 deg, rel. 100
26.90 deg, rel. 33
28.29 deg, rel. 78
32.81 deg, rel. 38
38.76 deg, rel. 64
43.86 deg, rel. 34
52.42 deg, rel. 27

Cell and atoms:
Cell: 9.2339 9.2339 12.6179 Å, 90.00 90.00 153.77°
Fractional positions:
Cs 0.2065 0.7935 0.7500
Cs 0.7935 0.2065 0.2500
Zr 0.5000 0.5000 0.0000
Zr 0.5000 0.5000 0.5000
In 0.1089 0.8911 0.2500
In 0.8911 0.1089 0.7500
Te 0.1123 0.8877 0.0034
Te 0.1123 0.8877 0.4966
Te 0.4910 0.5090 0.2500
Te 0.5090 0.4910 0.7500
Te 0.8877 0.1123 0.5034
Te 0.8877 0.1123 0.9966

What did the third record say?
Simulated PXRD pattern
Compound: CsZrInTe3
Radiation: Cu Kα (weighted mean of Kα1 and Kα2)
Structure: a DFT-relaxed cell (PBE, OQMD)
Kinematic intensities with the Lorentz-polarization factor, no thermal factor.

Most intense lines, 5 to 70 degrees two-theta, in order of rising 2θ:
9.84 deg, rel. 51
25.94 deg, rel. 100
26.90 deg, rel. 33
28.29 deg, rel. 78
32.81 deg, rel. 38
38.76 deg, rel. 64
43.86 deg, rel. 34
52.42 deg, rel. 27

Cell and atoms:
Cell: 9.2339 9.2339 12.6179 Å, 90.00 90.00 153.77°
Fractional positions:
Cs 0.2065 0.7935 0.7500
Cs 0.7935 0.2065 0.2500
Zr 0.5000 0.5000 0.0000
Zr 0.5000 0.5000 0.5000
In 0.1089 0.8911 0.2500
In 0.8911 0.1089 0.7500
Te 0.1123 0.8877 0.0034
Te 0.1123 0.8877 0.4966
Te 0.4910 0.5090 0.2500
Te 0.5090 0.4910 0.7500
Te 0.8877 0.1123 0.5034
Te 0.8877 0.1123 0.9966